# 1
# Li9CrN5
Computed PXRD pattern, Cu Kα (weighted mean of Kα1 and Kα2). Input: a crystal structure in Alexandria, relaxed with GGA-PBE.

Cell: 5.8968 6.8051 7.6029 Å, 77.34 74.58 73.62°
Space group P-1 (No. 2)
One atom of each set of equivalent atoms:
Li (0.0464, 0.4798, 0.1429) x2
Li (0.0475, 0.9243, 0.1434) x2
Li (0.1033, 0.3698, 0.4316) x2
Li (0.1283, 0.8547, 0.4366) x2
Li (0.2574, 0.2599, 0.7043) x2
Li (0.3279, 0.1622, 0.0316) x2
Li (0.3555, 0.6398, 0.0706) x2
Li (0.4137, 0.0564, 0.3554) x2
Li (0.4137, 0.5524, 0.3665) x2
Cr (0.2540, 0.7517, 0.7525) x2
N (0.0492, 0.1647, 0.2789) x2
N (0.0895, 0.6546, 0.3029) x2
N (0.3003, 0.4937, 0.8725) x2
N (0.3129, 0.9203, 0.8778) x2
N (0.4562, 0.7589, 0.5350) x2

Top 10 peaks for 15° ≤ 2θ ≤ 90°, in order of rising 2θ:
d/Å	two_theta	Rel. int.	index
5.238	16.93	100.0	0 1 1
4.940	17.96	84.4	1 0 1
4.795	18.50	94.9	1 1 0
4.481	19.81	67.1	0 1 -1
3.991	22.28	51.8	1 0 -1
3.774	23.57	57.1	1 -1 0
3.620	24.59	45.2	0 0 2
2.789	32.09	56.4	2 0 1
1.702	53.86	54.9	1 4 1
1.698	54.01	56.6	1 2 -3

# 2
# Pr3Nd7Y2
Computed PXRD pattern, Cu Kα (weighted mean of Kα1 and Kα2). Input: a crystal structure in Alexandria, relaxed with GGA-PBE.

Cell: 6.0060 3.6498 19.4117 Å, 90.00 93.26 90.00°
Space group P2/m (No. 10)
One atom of each set of equivalent atoms:
Pr (0.0000, 0.0000, 0.0000) x1
Pr (0.2779, 0.5000, 0.6333) x2
Nd (0.1869, 0.5000, 0.1451) x2
Nd (0.2436, 0.0000, 0.4643) x2
Nd (0.3111, 0.0000, 0.8196) x2
Nd (0.5000, 0.5000, 0.0000) x1
Y (0.2125, 0.0000, 0.2953) x2

Top 10 peaks for 15° ≤ 2θ ≤ 90°, in order of rising 2θ:
d/Å	two_theta	Rel. int.	index
3.230	27.62	30.8	0 0 6
3.175	28.10	20.5	1 0 5
2.993	29.86	79.0	2 0 -1
2.943	30.38	100.0	1 1 2
2.914	30.68	72.0	1 0 -6
2.841	31.49	29.3	1 1 -3
2.778	32.22	41.5	1 0 6
2.659	33.71	32.7	1 1 -4
1.825	49.98	18.8	0 2 0
1.558	59.31	16.3	2 2 -1

# 3
# LaPrNd2Y5
Computed PXRD pattern, Cu Kα (weighted mean of Kα1 and Kα2). Input: a crystal structure in Alexandria, relaxed with GGA-PBE.

Cell: 8.7911 8.7911 15.8389 Å, 90.00 90.00 90.00°
Space group I4/mcm (No. 140)
One atom of each set of equivalent atoms:
La (0.0000, 0.0000, 0.2500) x4
Pr (0.0000, 0.5000, 0.2500) x4
Nd (0.1177, 0.3823, 0.0000) x8
Y (0.0000, 0.0000, 0.0000) x4
Y (0.2075, 0.2925, 0.3645) x16

Top 10 peaks for 15° ≤ 2θ ≤ 90°, in order of rising 2θ:
d/Å	two_theta	Rel. int.	index
3.153	28.30	58.0	2 1 3
3.108	28.72	48.9	2 2 0
2.942	30.38	100.0	2 0 4
2.467	36.42	18.7	2 1 5
2.410	37.31	23.2	3 2 1
2.116	42.73	28.7	4 0 2
1.979	45.85	21.6	0 0 8
1.761	51.93	21.4	4 2 4
1.669	55.00	17.5	2 2 8
1.553	59.52	14.2	4 4 0

# 4
# TbHo4Er2Mg
Computed PXRD pattern, Cu Kα (weighted mean of Kα1 and Kα2). Input: a crystal structure in Alexandria, relaxed with GGA-PBE.

Cell: 4.9295 4.9295 9.9023 Å, 90.00 90.00 90.00°
Space group P4/mmm (No. 123)
One atom of each set of equivalent atoms:
Tb (0.0000, 0.0000, 0.0000) x1
Ho (0.0000, 0.5000, 0.2524) x4
Er (0.0000, 0.0000, 0.5000) x1
Er (0.5000, 0.5000, 0.0000) x1
Mg (0.5000, 0.5000, 0.5000) x1

Top 10 peaks for 15° ≤ 2θ ≤ 90°, in order of rising 2θ:
d/Å	two_theta	Rel. int.	index
2.850	31.39	100.0	1 1 2
2.476	36.29	17.0	0 0 4
2.465	36.45	33.6	2 0 0
1.747	52.38	23.9	2 0 4
1.743	52.51	11.9	2 2 0
1.492	62.24	14.2	1 1 6
1.487	62.46	28.1	3 1 2
1.425	65.50	12.2	2 2 4
1.133	85.73	11.9	3 1 6
1.103	88.71	11.1	4 2 0

# 5
# Al2Fe3W
Computed PXRD pattern, Cu Kα (weighted mean of Kα1 and Kα2). Input: a crystal structure in Alexandria, relaxed with GGA-PBE.

Cell: 2.9292 2.9292 8.6376 Å, 90.00 90.00 90.00°
Space group P4/mmm (No. 123)
One atom of each set of equivalent atoms:
Al (0.0000, 0.0000, 0.1573) x2
Fe (0.5000, 0.5000, 0.0000) x1
Fe (0.5000, 0.5000, 0.3319) x2
W (0.0000, 0.0000, 0.5000) x1

Top 10 peaks for 15° ≤ 2θ ≤ 90°, in order of rising 2θ:
d/Å	two_theta	Rel. int.	index
4.319	20.57	26.4	0 0 2
2.774	32.27	32.6	1 0 1
2.424	37.09	25.5	1 0 2
2.071	43.70	51.6	1 1 0
2.053	44.10	100.0	1 0 3
2.014	45.01	13.0	1 1 1
1.868	48.76	11.4	1 1 2
1.465	63.52	16.3	2 0 0
1.192	80.56	32.3	2 1 3
1.182	81.41	15.5	1 1 6

# 6
# HfAlIn
Computed PXRD pattern, Cu Kα (weighted mean of Kα1 and Kα2). Input: a crystal structure in Alexandria, relaxed with GGA-PBE.

Cell: 3.1650 3.1650 12.2635 Å, 90.00 90.00 90.00°
Space group I4mm (No. 107)
One atom of each set of equivalent atoms:
Hf (0.0000, 0.0000, 0.0000) x2
Al (0.0000, 0.0000, 0.6496) x2
In (0.0000, 0.0000, 0.3188) x2

Top 10 peaks for 15° ≤ 2θ ≤ 90°, in order of rising 2θ:
d/Å	two_theta	Rel. int.	index
3.065	29.14	45.3	0 0 4
2.503	35.88	100.0	1 0 3
2.238	40.30	36.9	1 1 0
2.044	44.32	13.0	0 0 6
1.582	58.31	12.4	2 0 0
1.533	60.40	11.6	1 0 7
1.509	61.44	19.5	1 1 6
1.406	66.49	11.2	2 0 4
1.338	70.39	27.6	2 1 3
1.251	76.06	19.9	2 0 6

# 7
# UZn13
Computed PXRD pattern, Cu Kα (weighted mean of Kα1 and Kα2). Input: a crystal structure in Alexandria, relaxed with GGA-PBE.

Cell: 12.1335 12.1335 12.1335 Å, 90.00 90.00 90.00°
Space group Fm-3c (No. 226)
One atom of each set of equivalent atoms:
U (0.2500, 0.2500, 0.2500) x8
Zn (0.0000, 0.0000, 0.0000) x8
Zn (0.0000, 0.1219, 0.1792) x96

Top 10 peaks for 15° ≤ 2θ ≤ 90°, in order of rising 2θ:
d/Å	two_theta	Rel. int.	index
4.290	20.71	13.1	2 2 0
2.713	33.02	61.2	4 2 0
2.477	36.27	100.0	4 2 2
2.051	44.16	71.3	5 3 1
1.918	47.39	24.8	6 2 0
1.683	54.54	16.4	6 4 0
1.621	56.78	19.8	6 4 2
1.471	63.19	20.3	6 4 4
1.238	77.00	15.5	8 4 4
1.190	80.77	15.4	8 6 2

# 8
# Ac2PmTe4
Computed PXRD pattern, Cu Kα (weighted mean of Kα1 and Kα2). Input: a crystal structure in Alexandria, relaxed with GGA-PBE.

Cell: 15.3237 4.4040 9.4818 Å, 90.00 123.08 90.00°
Space group C2/m (No. 12)
One atom of each set of equivalent atoms:
Ac (0.1402, 0.0000, 0.2047) x4
Pm (0.0000, 0.5000, 0.5000) x2
Te (0.0599, 0.5000, 0.8748) x4
Te (0.1684, 0.0000, 0.5858) x4

Top 10 peaks for 15° ≤ 2θ ≤ 90°, in order of rising 2θ:
d/Å	two_theta	Rel. int.	index
4.723	18.79	30.0	2 0 -2
3.335	26.73	46.4	3 1 -1
3.121	28.60	46.2	2 0 -3
3.069	29.09	100.0	3 1 0
2.650	33.83	71.1	1 1 2
2.561	35.03	21.9	3 1 -3
2.425	37.07	27.2	6 0 -1
2.323	38.76	42.7	5 1 -3
2.202	40.99	29.7	0 2 0
1.487	62.47	26.6	4 2 2

Repeat the third record exactly.
# LaPrNd2Y5
Computed PXRD pattern, Cu Kα (weighted mean of Kα1 and Kα2). Input: a crystal structure in Alexandria, relaxed with GGA-PBE.

Cell: 8.7911 8.7911 15.8389 Å, 90.00 90.00 90.00°
Space group I4/mcm (No. 140)
One atom of each set of equivalent atoms:
La (0.0000, 0.0000, 0.2500) x4
Pr (0.0000, 0.5000, 0.2500) x4
Nd (0.1177, 0.3823, 0.0000) x8
Y (0.0000, 0.0000, 0.0000) x4
Y (0.2075, 0.2925, 0.3645) x16

Top 10 peaks for 15° ≤ 2θ ≤ 90°, in order of rising 2θ:
d/Å	two_theta	Rel. int.	index
3.153	28.30	58.0	2 1 3
3.108	28.72	48.9	2 2 0
2.942	30.38	100.0	2 0 4
2.467	36.42	18.7	2 1 5
2.410	37.31	23.2	3 2 1
2.116	42.73	28.7	4 0 2
1.979	45.85	21.6	0 0 8
1.761	51.93	21.4	4 2 4
1.669	55.00	17.5	2 2 8
1.553	59.52	14.2	4 4 0